1.
Structure and simulated X-ray powder pattern of K2LiMgSb2 (a cell relaxed with GGA-PBE; Cu Ka).
Neutral-atom scattering factors, no anomalous dispersion.

Structural model:
```
data_K2LiMgSb2
_cell_length_a 6.8652
_cell_length_b 16.3037
_cell_length_c 6.8844
_cell_angle_alpha 90.00
_cell_angle_beta 90.00
_cell_angle_gamma 90.00
_space_group_name_H-M_alt 'I b a m'
_space_group_IT_number 72
_space_group_name_Hall '-I 2 2c'
loop_
_atom_site_label
_atom_site_type_symbol
_atom_site_fract_x
_atom_site_fract_y
_atom_site_fract_z
K1 K 0.2430 0.1722 0.0000
Li1 Li 0.0000 0.0000 0.2500
Mg1 Mg 0.0000 0.5000 0.2500
Sb1 Sb 0.2502 0.0984 0.5000
```

Peak list (10 most intense, 5 to 70 degrees two-theta, by intensity)
| h k l | 2θ (°) | I/Imax |
| --- | --- | --- |
| 0 0 2 | 25.92 | 100 |
| 1 2 1 | 21.28 | 94 |
| 1 4 1 | 28.58 | 93 |
| 2 4 0 | 34.12 | 71 |
| 2 0 2 | 36.98 | 56 |
| 1 4 3 | 47.39 | 43 |
| 1 8 1 | 48.43 | 34 |
| 0 4 0 | 21.81 | 32 |
| 3 2 1 | 43.06 | 31 |
| 1 8 3 | 62.46 | 31 |

---

2.
Structure and simulated X-ray powder pattern of KLiMg2Tl5 (a cell relaxed with GGA-PBE; Cu Ka).
Neutral-atom scattering factors, no anomalous dispersion.

Structural model:
```
data_KLiMg2Tl5
_cell_length_a 5.1454
_cell_length_b 8.3941
_cell_length_c 13.1631
_cell_angle_alpha 90.00
_cell_angle_beta 90.00
_cell_angle_gamma 90.00
_space_group_name_H-M_alt 'I m m m'
_space_group_IT_number 71
_space_group_name_Hall '-I 2 2'
loop_
_atom_site_label
_atom_site_type_symbol
_atom_site_fract_x
_atom_site_fract_y
_atom_site_fract_z
K1 K 0.0000 0.0000 0.0000
Li1 Li 0.0000 0.0000 0.5000
Mg1 Mg 0.0000 0.5000 0.2224
Tl1 Tl 0.0000 0.2088 0.3411
Tl2 Tl 0.0000 0.5000 0.0000
```

Peak list (10 most intense, 5 to 70 degrees two-theta, by intensity)
| h k l | 2θ (°) | I/Imax |
| --- | --- | --- |
| 1 0 3 | 26.70 | 100 |
| 1 2 1 | 28.27 | 67 |
| 0 1 1 | 12.51 | 45 |
| 2 0 0 | 34.87 | 30 |
| 0 2 4 | 34.64 | 28 |
| 0 2 2 | 25.17 | 27 |
| 1 3 0 | 36.56 | 26 |
| 1 2 3 | 34.32 | 24 |
| 0 0 6 | 41.15 | 21 |
| 1 2 7 | 56.55 | 20 |

---

3.
Structure and simulated X-ray powder pattern of KLi2Mn (a cell relaxed with GGA-PBE; Cu Ka).
Neutral-atom scattering factors, no anomalous dispersion.

Structural model:
```
data_KLi2Mn
_cell_length_a 3.4465
_cell_length_b 3.6140
_cell_length_c 8.5562
_cell_angle_alpha 90.00
_cell_angle_beta 90.00
_cell_angle_gamma 90.00
_space_group_name_H-M_alt 'P m m m'
_space_group_IT_number 47
loop_
_space_group_symop_operation_xyz
'x,y,z'
'-x,-y,-z'
'-x,-y,z'
'x,y,-z'
'x,-y,-z'
'-x,y,z'
'-x,y,-z'
'x,-y,z'
loop_
_atom_site_label
_atom_site_type_symbol
_atom_site_fract_x
_atom_site_fract_y
_atom_site_fract_z
K1 K 0.0000 0.0000 0.0000
Li1 Li 0.5000 0.5000 0.3332
Mn1 Mn 0.0000 0.0000 0.5000
```

Peak list (10 most intense, 5 to 70 degrees two-theta, by intensity)
| h k l | 2θ (°) | I/Imax |
| --- | --- | --- |
| 0 0 2 | 20.76 | 100 |
| 0 1 2 | 32.43 | 76 |
| 1 0 2 | 33.39 | 70 |
| 1 1 0 | 36.01 | 62 |
| 0 1 0 | 24.63 | 58 |
| 1 1 2 | 41.93 | 57 |
| 1 0 0 | 25.85 | 51 |
| 0 0 1 | 10.34 | 24 |
| 1 1 4 | 56.69 | 21 |
| 0 1 4 | 49.52 | 21 |

---

Copy entry 3 word for word.
Structure and simulated X-ray powder pattern of KLi2Mn (a cell relaxed with GGA-PBE; Cu Ka).
Neutral-atom scattering factors, no anomalous dispersion.

Structural model:
```
data_KLi2Mn
_cell_length_a 3.4465
_cell_length_b 3.6140
_cell_length_c 8.5562
_cell_angle_alpha 90.00
_cell_angle_beta 90.00
_cell_angle_gamma 90.00
_space_group_name_H-M_alt 'P m m m'
_space_group_IT_number 47
loop_
_space_group_symop_operation_xyz
'x,y,z'
'-x,-y,-z'
'-x,-y,z'
'x,y,-z'
'x,-y,-z'
'-x,y,z'
'-x,y,-z'
'x,-y,z'
loop_
_atom_site_label
_atom_site_type_symbol
_atom_site_fract_x
_atom_site_fract_y
_atom_site_fract_z
K1 K 0.0000 0.0000 0.0000
Li1 Li 0.5000 0.5000 0.3332
Mn1 Mn 0.0000 0.0000 0.5000
```

Peak list (10 most intense, 5 to 70 degrees two-theta, by intensity)
| h k l | 2θ (°) | I/Imax |
| --- | --- | --- |
| 0 0 2 | 20.76 | 100 |
| 0 1 2 | 32.43 | 76 |
| 1 0 2 | 33.39 | 70 |
| 1 1 0 | 36.01 | 62 |
| 0 1 0 | 24.63 | 58 |
| 1 1 2 | 41.93 | 57 |
| 1 0 0 | 25.85 | 51 |
| 0 0 1 | 10.34 | 24 |
| 1 1 4 | 56.69 | 21 |
| 0 1 4 | 49.52 | 21 |

---

> What is the formula in the third record?

KLi2Mn

---

> What is the formula in the second record?

KLiMg2Tl5